(1)
Starting from the GGA-PBE geometry in Alexandria, the PXRD pattern of PdAu6 was computed for λ = 1.5418 Å (Cu Kα).

Structural model:
Unit cell a=4.0378 b=4.0378 c=8.1722 alpha=90.00 beta=90.00 gamma=90.00
Space group P4/mmm (No. 123)
Inequivalent atoms, fractional coordinates:
Pd 0.0000 0.0000 0.0000 (multiplicity 1)
Au 0.0000 0.0000 0.5000 (multiplicity 1)
Au 0.0000 0.5000 0.2580 (multiplicity 4)
Au 0.5000 0.5000 0.0000 (multiplicity 1)

Peak list (12 most intense, 10° ≤ 2θ ≤ 90°, sorted by position)
| 2θ (°) | I (rel.) |
| --- | --- |
| 21.75 | 49 |
| 24.59 | 153 |
| 38.46 | 1000 |
| 39.92 | 45 |
| 44.34 | 165 |
| 44.90 | 327 |
| 51.85 | 43 |
| 64.94 | 215 |
| 65.37 | 108 |
| 77.67 | 127 |
| 78.48 | 260 |
| 82.42 | 114 |


(2)
Starting from the GGA-PBE geometry in Alexandria, the PXRD pattern of Ac5SmPb6 was computed for λ = 1.5418 Å (Cu Kα).

Structural model:
Unit cell a=17.1914 b=9.3192 c=5.4463 alpha=90.00 beta=107.87 gamma=90.00
Space group C2/m (No. 12)
Inequivalent atoms, fractional coordinates:
Ac 0.0000 0.0000 0.0000 (multiplicity 2)
Ac 0.1647 0.5000 0.6646 (multiplicity 4)
Ac 0.1686 0.0000 0.6677 (multiplicity 4)
Sm 0.0000 0.5000 0.0000 (multiplicity 2)
Pb 0.0000 0.2554 0.5000 (multiplicity 4)
Pb 0.1611 0.2538 0.1606 (multiplicity 8)

Peak list (12 most intense, 10° ≤ 2θ ≤ 90°, sorted by position)
| 2θ (°) | I (rel.) |
| --- | --- |
| 30.00 | 1000 |
| 30.19 | 984 |
| 32.87 | 789 |
| 38.65 | 258 |
| 46.91 | 149 |
| 47.43 | 144 |
| 51.61 | 452 |
| 56.80 | 340 |
| 57.14 | 333 |
| 62.34 | 129 |
| 62.77 | 126 |
| 64.76 | 117 |


(3)
Starting from the GGA-PBE geometry in Alexandria, the PXRD pattern of LaPr6Rh4 was computed for λ = 1.5418 Å (Cu Kα).

Structural model:
Unit cell a=6.8657 b=7.0626 c=7.0643 alpha=107.57 beta=100.26 gamma=100.11
Space group P1 (No. 1)
Inequivalent atoms, fractional coordinates:
La 0.0000 0.0000 0.0000 (multiplicity 1)
Pr 0.4209 0.3738 0.3699 (multiplicity 1)
Pr 0.4355 0.8436 0.8390 (multiplicity 1)
Pr 0.5439 0.3783 0.8915 (multiplicity 1)
Pr 0.5450 0.8951 0.3739 (multiplicity 1)
Pr 0.9835 0.3358 0.6550 (multiplicity 1)
Pr 0.9840 0.6566 0.3338 (multiplicity 1)
Rh 0.2518 0.0612 0.5634 (multiplicity 1)
Rh 0.2516 0.5697 0.0578 (multiplicity 1)
Rh 0.7275 0.2011 0.1972 (multiplicity 1)
Rh 0.7454 0.6733 0.6701 (multiplicity 1)

Peak list (12 most intense, 10° ≤ 2θ ≤ 90°, sorted by position)
| 2θ (°) | I (rel.) |
| --- | --- |
| 27.77 | 513 |
| 29.53 | 1000 |
| 29.68 | 989 |
| 30.95 | 324 |
| 31.40 | 794 |
| 33.54 | 831 |
| 33.68 | 773 |
| 34.32 | 437 |
| 38.88 | 334 |
| 43.37 | 619 |
| 43.68 | 574 |
| 44.43 | 561 |


(4)
Starting from the GGA-PBE geometry in Alexandria, the PXRD pattern of AuI3Br was computed for λ = 1.5418 Å (Cu Kα).

Structural model:
Unit cell a=5.8270 b=7.9991 c=12.3510 alpha=77.59 beta=84.04 gamma=79.32
Space group P-1 (No. 2)
Inequivalent atoms, fractional coordinates:
Au 0.0871 0.4848 0.2123 (multiplicity 2)
I 0.0560 0.1625 0.3314 (multiplicity 2)
I 0.2540 0.4163 0.6383 (multiplicity 2)
I 0.3127 0.6392 0.0426 (multiplicity 2)
Br 0.4279 0.8945 0.3225 (multiplicity 2)

Peak list (12 most intense, 10° ≤ 2θ ≤ 90°, sorted by position)
| 2θ (°) | I (rel.) |
| --- | --- |
| 11.49 | 606 |
| 14.72 | 229 |
| 20.45 | 219 |
| 20.71 | 353 |
| 20.83 | 1000 |
| 21.71 | 199 |
| 22.16 | 173 |
| 31.92 | 186 |
| 40.50 | 168 |
| 40.89 | 141 |
| 41.46 | 175 |
| 41.95 | 153 |